1.
Structure and theoretical powder diffractogram of Pr6Fe13Sn (a structure optimized by DFT (GGA-PBE); Cu Kα).
No peak broadening, texture or thermal motion is included.

Structure:
```
data_Pr6Fe13Sn
_chemical_formula_sum 'Pr12 Fe26 Sn2'
_symmetry_space_group_name_H-M 'P 1'
_symmetry_Int_Tables_number 1
_cell_length_a 13.1633
_cell_length_b 13.1633
_cell_length_c 13.1633
_cell_angle_alpha 144.29
_cell_angle_beta 144.29
_cell_angle_gamma 51.39
loop_
_symmetry_equiv_pos_as_xyz
'x,y,z'
loop_
_atom_site_label
_atom_site_type_symbol
_atom_site_fract_x
_atom_site_fract_y
_atom_site_fract_z
_atom_site_occupancy
Pr1 Pr 0.0204 0.5204 0.1720 1
Pr2 Pr 0.1044 0.1044 0.0000 1
Pr3 Pr 0.1516 0.9796 0.5000 1
Pr4 Pr 0.3484 0.8484 0.8280 1
Pr5 Pr 0.3956 0.3956 0.0000 1
Pr6 Pr 0.4796 0.6516 0.5000 1
Pr7 Pr 0.5204 0.3484 0.5000 1
Pr8 Pr 0.6044 0.6044 0.0000 1
Pr9 Pr 0.6516 0.1516 0.1720 1
Pr10 Pr 0.8484 0.0204 0.5000 1
Pr11 Pr 0.8956 0.8956 0.0000 1
Pr12 Pr 0.9796 0.4796 0.8280 1
Fe1 Fe 0.0000 0.5000 0.5000 1
Fe2 Fe 0.0209 0.2950 0.5000 1
Fe3 Fe 0.0663 0.2096 0.2760 1
Fe4 Fe 0.1212 0.6212 0.8578 1
Fe5 Fe 0.2050 0.4791 0.5000 1
Fe6 Fe 0.2096 0.9337 0.1433 1
Fe7 Fe 0.2366 0.7366 0.8578 1
Fe8 Fe 0.2634 0.1212 0.5000 1
Fe9 Fe 0.2904 0.4337 0.7240 1
Fe10 Fe 0.2950 0.7950 0.2742 1
Fe11 Fe 0.3788 0.2366 0.5000 1
Fe12 Fe 0.4337 0.7096 0.1433 1
Fe13 Fe 0.4791 0.9791 0.2742 1
Fe14 Fe 0.5000 0.0000 0.5000 1
Fe15 Fe 0.5209 0.0209 0.7258 1
Fe16 Fe 0.5663 0.2904 0.8567 1
Fe17 Fe 0.6212 0.7634 0.5000 1
Fe18 Fe 0.7050 0.2050 0.7258 1
Fe19 Fe 0.7096 0.5663 0.2760 1
Fe20 Fe 0.7366 0.8788 0.5000 1
Fe21 Fe 0.7634 0.2634 0.1422 1
Fe22 Fe 0.7904 0.0663 0.8567 1
Fe23 Fe 0.7950 0.5209 0.5000 1
Fe24 Fe 0.8788 0.3788 0.1422 1
Fe25 Fe 0.9337 0.7904 0.7240 1
Fe26 Fe 0.9791 0.7050 0.5000 1
Sn1 Sn 0.2500 0.2500 0.0000 1
Sn2 Sn 0.7500 0.7500 0.0000 1
```

Most intense lines, 2θ = 10–90°, low angle first:
| Position (°2θ) | I (rel.) |
| --- | --- |
| 27.16 | 89 |
| 31.13 | 85 |
| 31.35 | 35 |
| 31.68 | 44 |
| 34.07 | 40 |
| 35.16 | 100 |
| 37.64 | 70 |
| 42.46 | 56 |
| 46.55 | 45 |
| 57.56 | 36 |



2.
Structure and theoretical powder diffractogram of Tb3PrFe (a structure optimized by DFT (GGA-PBE); Cu Kα).
No peak broadening, texture or thermal motion is included.

Structure:
```
data_Tb3PrFe
_chemical_formula_sum 'Tb3 Pr1 Fe1'
_symmetry_space_group_name_H-M 'P 1'
_symmetry_Int_Tables_number 1
_cell_length_a 5.3236
_cell_length_b 5.3236
_cell_length_c 5.3236
_cell_angle_alpha 90.00
_cell_angle_beta 90.00
_cell_angle_gamma 90.00
loop_
_symmetry_equiv_pos_as_xyz
'x,y,z'
loop_
_atom_site_label
_atom_site_type_symbol
_atom_site_fract_x
_atom_site_fract_y
_atom_site_fract_z
_atom_site_occupancy
Tb1 Tb 0.0000 0.0000 0.5000 1
Tb2 Tb 0.0000 0.5000 0.0000 1
Tb3 Tb 0.5000 0.0000 0.0000 1
Pr1 Pr 0.5000 0.5000 0.5000 1
Fe1 Fe 0.0000 0.0000 0.0000 1
```

Most intense lines, 2θ = 10–90°, low angle first:
| Position (°2θ) | I (rel.) |
| --- | --- |
| 16.65 | 5 |
| 29.05 | 100 |
| 33.67 | 75 |
| 37.79 | 3 |
| 48.36 | 54 |
| 57.41 | 45 |
| 60.22 | 19 |
| 70.79 | 9 |
| 78.28 | 18 |
| 80.72 | 24 |



3.
Structure and theoretical powder diffractogram of PrTiFe11 (a structure optimized by DFT (GGA-PBE); Cu Kα).
No peak broadening, texture or thermal motion is included.

Structure:
```
data_PrTiFe11
_chemical_formula_sum 'Pr1 Ti1 Fe11'
_symmetry_space_group_name_H-M 'P 1'
_symmetry_Int_Tables_number 1
_cell_length_a 6.5118
_cell_length_b 6.5118
_cell_length_c 6.5118
_cell_angle_alpha 137.77
_cell_angle_beta 97.36
_cell_angle_gamma 97.55
loop_
_symmetry_equiv_pos_as_xyz
'x,y,z'
loop_
_atom_site_label
_atom_site_type_symbol
_atom_site_fract_x
_atom_site_fract_y
_atom_site_fract_z
_atom_site_occupancy
Pr1 Pr 0.0000 0.0000 0.0000 1
Ti1 Ti 0.3739 0.3739 0.0000 1
Fe1 Fe 0.0034 0.0038 0.4987 1
Fe2 Fe 0.0034 0.5047 0.9996 1
Fe3 Fe 0.2340 0.5064 0.7276 1
Fe4 Fe 0.2361 0.7361 0.5000 1
Fe5 Fe 0.3631 0.0050 0.3581 1
Fe6 Fe 0.5051 0.0038 0.0004 1
Fe7 Fe 0.5051 0.5047 0.5013 1
Fe8 Fe 0.6470 0.0050 0.6419 1
Fe9 Fe 0.6492 0.6492 0.0000 1
Fe10 Fe 0.7685 0.2685 0.5000 1
Fe11 Fe 0.7788 0.5064 0.2724 1
```

Most intense lines, 2θ = 10–90°, low angle first:
| Position (°2θ) | I (rel.) |
| --- | --- |
| 30.06 | 42 |
| 32.97 | 15 |
| 36.77 | 41 |
| 38.37 | 16 |
| 42.07 | 68 |
| 42.55 | 100 |
| 43.98 | 72 |
| 49.07 | 30 |
| 72.26 | 19 |
| 77.22 | 20 |



4.
Structure and theoretical powder diffractogram of Pr6TlFe13 (a structure optimized by DFT (GGA-PBE); Cu Kα).
No peak broadening, texture or thermal motion is included.

Structure:
```
data_Pr6TlFe13
_chemical_formula_sum 'Pr12 Tl2 Fe26'
_symmetry_space_group_name_H-M 'P 1'
_symmetry_Int_Tables_number 1
_cell_length_a 13.1944
_cell_length_b 13.1944
_cell_length_c 13.1944
_cell_angle_alpha 144.38
_cell_angle_beta 144.38
_cell_angle_gamma 51.26
loop_
_symmetry_equiv_pos_as_xyz
'x,y,z'
loop_
_atom_site_label
_atom_site_type_symbol
_atom_site_fract_x
_atom_site_fract_y
_atom_site_fract_z
_atom_site_occupancy
Pr1 Pr 0.0201 0.5201 0.1736 1
Pr2 Pr 0.1039 0.1039 0.0000 1
Pr3 Pr 0.1535 0.9799 0.5000 1
Pr4 Pr 0.3465 0.8465 0.8264 1
Pr5 Pr 0.3961 0.3961 0.0000 1
Pr6 Pr 0.4799 0.6535 0.5000 1
Pr7 Pr 0.5201 0.3465 0.5000 1
Pr8 Pr 0.6039 0.6039 0.0000 1
Pr9 Pr 0.6535 0.1535 0.1736 1
Pr10 Pr 0.8465 0.0201 0.5000 1
Pr11 Pr 0.8961 0.8961 0.0000 1
Pr12 Pr 0.9799 0.4799 0.8264 1
Tl1 Tl 0.2500 0.2500 0.0000 1
Tl2 Tl 0.7500 0.7500 0.0000 1
Fe1 Fe 0.0000 0.5000 0.5000 1
Fe2 Fe 0.0208 0.2955 0.5000 1
Fe3 Fe 0.0663 0.2102 0.2765 1
Fe4 Fe 0.1216 0.6216 0.8582 1
Fe5 Fe 0.2045 0.4792 0.5000 1
Fe6 Fe 0.2102 0.9337 0.1439 1
Fe7 Fe 0.2365 0.7365 0.8582 1
Fe8 Fe 0.2635 0.1216 0.5000 1
Fe9 Fe 0.2898 0.4337 0.7235 1
Fe10 Fe 0.2955 0.7955 0.2747 1
Fe11 Fe 0.3784 0.2365 0.5000 1
Fe12 Fe 0.4337 0.7102 0.1439 1
Fe13 Fe 0.4792 0.9792 0.2747 1
Fe14 Fe 0.5000 0.0000 0.5000 1
Fe15 Fe 0.5208 0.0208 0.7253 1
Fe16 Fe 0.5663 0.2898 0.8561 1
Fe17 Fe 0.6216 0.7635 0.5000 1
Fe18 Fe 0.7045 0.2045 0.7253 1
Fe19 Fe 0.7102 0.5663 0.2765 1
Fe20 Fe 0.7365 0.8784 0.5000 1
Fe21 Fe 0.7635 0.2635 0.1418 1
Fe22 Fe 0.7898 0.0663 0.8561 1
Fe23 Fe 0.7955 0.5208 0.5000 1
Fe24 Fe 0.8784 0.3784 0.1418 1
Fe25 Fe 0.9337 0.7898 0.7235 1
Fe26 Fe 0.9792 0.7045 0.5000 1
```

Most intense lines, 2θ = 10–90°, low angle first:
| Position (°2θ) | I (rel.) |
| --- | --- |
| 27.14 | 75 |
| 27.39 | 38 |
| 31.10 | 68 |
| 31.35 | 37 |
| 31.63 | 52 |
| 33.99 | 44 |
| 35.16 | 100 |
| 37.57 | 69 |
| 42.38 | 50 |
| 46.55 | 37 |



5.
Structure and theoretical powder diffractogram of PrU2Fe9 (a structure optimized by DFT (GGA-PBE); Cu Kα).
No peak broadening, texture or thermal motion is included.

Structure:
```
data_PrU2Fe9
_chemical_formula_sum 'Pr1 U2 Fe9'
_symmetry_space_group_name_H-M 'P 1'
_symmetry_Int_Tables_number 1
_cell_length_a 4.8637
_cell_length_b 4.8637
_cell_length_c 8.8456
_cell_angle_alpha 106.00
_cell_angle_beta 106.00
_cell_angle_gamma 60.00
loop_
_symmetry_equiv_pos_as_xyz
'x,y,z'
loop_
_atom_site_label
_atom_site_type_symbol
_atom_site_fract_x
_atom_site_fract_y
_atom_site_fract_z
_atom_site_occupancy
Pr1 Pr 0.0000 0.0000 0.0000 1
U1 U 0.1452 0.1452 0.4355 1
U2 U 0.8548 0.8548 0.5645 1
Fe1 Fe 0.0843 0.5815 0.2467 1
Fe2 Fe 0.3324 0.3324 0.9968 1
Fe3 Fe 0.4185 0.4185 0.7532 1
Fe4 Fe 0.4185 0.9157 0.7533 1
Fe5 Fe 0.5000 0.5000 0.5000 1
Fe6 Fe 0.5815 0.0843 0.2467 1
Fe7 Fe 0.5815 0.5815 0.2468 1
Fe8 Fe 0.6676 0.6676 0.0032 1
Fe9 Fe 0.9157 0.4185 0.7533 1
```

Most intense lines, 2θ = 10–90°, low angle first:
| Position (°2θ) | I (rel.) |
| --- | --- |
| 10.55 | 34 |
| 21.39 | 19 |
| 32.76 | 65 |
| 35.63 | 29 |
| 36.96 | 59 |
| 43.00 | 100 |
| 43.12 | 45 |
| 63.96 | 20 |
| 70.77 | 22 |
| 78.69 | 18 |



6.
Structure and theoretical powder diffractogram of PrUFe4 (a structure optimized by DFT (GGA-PBE); Cu Kα).
No peak broadening, texture or thermal motion is included.

Structure:
```
data_PrUFe4
_chemical_formula_sum 'Pr2 U2 Fe8'
_symmetry_space_group_name_H-M 'P 1'
_symmetry_Int_Tables_number 1
_cell_length_a 5.9378
_cell_length_b 5.9378
_cell_length_c 6.8739
_cell_angle_alpha 110.32
_cell_angle_beta 110.32
_cell_angle_gamma 65.60
loop_
_symmetry_equiv_pos_as_xyz
'x,y,z'
loop_
_atom_site_label
_atom_site_type_symbol
_atom_site_fract_x
_atom_site_fract_y
_atom_site_fract_z
_atom_site_occupancy
Pr1 Pr 0.2068 0.2068 0.3025 1
Pr2 Pr 0.7932 0.7932 0.6975 1
U1 U 0.4733 0.4733 0.7754 1
U2 U 0.5267 0.5267 0.2246 1
Fe1 Fe 0.1184 0.6771 0.1037 1
Fe2 Fe 0.1768 0.8232 0.5000 1
Fe3 Fe 0.2502 0.2502 0.7833 1
Fe4 Fe 0.3229 0.8816 0.8963 1
Fe5 Fe 0.6771 0.1184 0.1037 1
Fe6 Fe 0.7498 0.7498 0.2167 1
Fe7 Fe 0.8232 0.1768 0.5000 1
Fe8 Fe 0.8816 0.3229 0.8963 1
```

Most intense lines, 2θ = 10–90°, low angle first:
| Position (°2θ) | I (rel.) |
| --- | --- |
| 16.88 | 75 |
| 27.74 | 48 |
| 28.52 | 48 |
| 32.67 | 65 |
| 33.72 | 58 |
| 34.51 | 74 |
| 36.77 | 70 |
| 39.37 | 49 |
| 40.21 | 100 |
| 43.36 | 35 |